Diffraction record for GdHoAl4. The powder XRD pattern is theoretical, not measured: it uses the PBE geometry in OQMD and CuKα.
No peak broadening, texture or thermal motion is included.

Top 8 peaks for 2θ from 5° to 70°, in order of falling intensity:
| 2θ/deg | Rel. int. |
| --- | --- |
| 29.13 | 100.0 |
| 39.07 | 65.3 |
| 35.39 | 36.2 |
| 22.74 | 28.9 |
| 27.26 | 25.7 |
| 27.44 | 22.4 |
| 60.38 | 20.8 |
| 49.35 | 19.8 |

a b c (Å): 9.9655 9.9655 6.5428
angles (deg): 90.00 90.00 156.23
Sites, in units of the cell vectors:
Gd  0.0873  0.9127  0.7500
Gd  0.9127  0.0873  0.2500
Ho  0.2357  0.7643  0.2500
Ho  0.7643  0.2357  0.7500
Al  0.0722  0.9278  0.2500
Al  0.3570  0.6430  0.5465
Al  0.3570  0.6430  0.9535
Al  0.5000  0.5000  0.0000
Al  0.5000  0.5000  0.5000
Al  0.6430  0.3570  0.0465
Al  0.6430  0.3570  0.4535
Al  0.9278  0.0722  0.7500

Diffraction record for Gd2HoMg4Al2. The powder XRD pattern is theoretical, not measured: it uses the PBE geometry in OQMD and CuKα.
No peak broadening, texture or thermal motion is included.

Top 8 peaks for 2θ from 5° to 70°, in order of falling intensity:
| 2θ/deg | Rel. int. |
| --- | --- |
| 33.78 | 100.0 |
| 30.84 | 75.4 |
| 19.37 | 63.9 |
| 27.41 | 50.6 |
| 23.76 | 50.5 |
| 33.90 | 50.0 |
| 54.87 | 39.1 |
| 48.63 | 38.5 |

a b c (Å): 4.5830 7.4890 7.4890
angles (deg): 119.65 90.00 90.00
Sites, in units of the cell vectors:
Gd  0.0000  0.2173  0.7827
Gd  0.0000  0.7827  0.2173
Ho  0.0000  0.3468  0.3468
Mg  0.0000  0.7798  0.7798
Mg  0.5000  0.0317  0.0317
Mg  0.5000  0.5320  0.7815
Mg  0.5000  0.7815  0.5320
Al  0.5000  0.1171  0.4486
Al  0.5000  0.4486  0.1171

Diffraction record for TbGdAl2I2. The powder XRD pattern is theoretical, not measured: it uses the PBE geometry in OQMD and CuKα.
No peak broadening, texture or thermal motion is included.

Top 8 peaks for 2θ from 5° to 70°, in order of falling intensity:
| 2θ/deg | Rel. int. |
| --- | --- |
| 32.78 | 100.0 |
| 25.03 | 63.5 |
| 42.04 | 44.6 |
| 28.17 | 39.9 |
| 14.69 | 30.2 |
| 44.76 | 30.0 |
| 63.34 | 25.3 |
| 54.31 | 23.7 |

a b c (Å): 4.2984 4.2984 12.0639
angles (deg): 90.00 90.00 120.00
Sites, in units of the cell vectors:
Tb  0.0000  0.0000  0.0000
Gd  0.0000  0.0000  0.3415
Al  0.3333  0.6667  0.1850
Al  0.6667  0.3333  0.1553
I  0.3333  0.6667  0.8373
I  0.6667  0.3333  0.5054

Q: Number 3 is which compound?
A: TbGdAl2I2